Simulated X-ray diffraction stick pattern of AgPtSO for Cu Kα, from a DFT-relaxed cell (PBE, OQMD).

Peak list (12 most intense, 10 to 80 degrees two-theta, by intensity)
- 2θ 34.92, rel. 100, hkl 2 0 2
- 2θ 29.67, rel. 80, hkl 0 2 2
- 2θ 32.29, rel. 58, hkl 2 2 0
- 2θ 57.83, rel. 27, hkl 2 2 4
- 2θ 52.52, rel. 25, hkl 2 4 2
- 2θ 48.16, rel. 22, hkl 2 4 1
- 2θ 46.60, rel. 20, hkl 0 0 4
- 2θ 39.74, rel. 20, hkl 0 4 1
- 2θ 62.51, rel. 19, hkl 4 2 2
- 2θ 37.96, rel. 18, hkl 0 4 0
- 2θ 21.94, rel. 16, hkl 0 2 1
- 2θ 22.81, rel. 16, hkl 0 0 2

Atomic structure:
Cell: 6.834 9.482 7.796 Å, 90.00 90.00 90.00°
Positions (direct):
Ag: 0.250 0.031 0.012
Ag: 0.250 0.469 0.512
Ag: 0.250 0.531 0.012
Ag: 0.250 0.969 0.512
Ag: 0.750 0.031 0.488
Ag: 0.750 0.469 0.988
Ag: 0.750 0.531 0.488
Ag: 0.750 0.969 0.988
Pt: 0.002 0.214 0.250
Pt: 0.002 0.286 0.750
Pt: 0.498 0.714 0.250
Pt: 0.498 0.786 0.750
Pt: 0.502 0.214 0.250
Pt: 0.502 0.286 0.750
Pt: 0.998 0.714 0.250
Pt: 0.998 0.786 0.750
S: 0.004 0.039 0.750
S: 0.004 0.461 0.250
S: 0.496 0.539 0.750
S: 0.496 0.961 0.250
S: 0.504 0.039 0.750
S: 0.504 0.461 0.250
S: 0.996 0.539 0.750
S: 0.996 0.961 0.250
O: 0.249 0.713 0.383
O: 0.249 0.787 0.883
O: 0.251 0.213 0.383
O: 0.251 0.287 0.883
O: 0.749 0.713 0.117
O: 0.749 0.787 0.617
O: 0.751 0.213 0.117
O: 0.751 0.287 0.617

***

Simulated X-ray diffraction stick pattern of AgPtSO for Cu Kα, from a DFT-relaxed cell (PBE, OQMD).

Peak list (12 most intense, 10 to 80 degrees two-theta, by intensity)
- 2θ 31.34, rel. 100, hkl 1 2 1
- 2θ 25.96, rel. 67, hkl 1 2 0
- 2θ 10.62, rel. 43, hkl 0 1 0
- 2θ 18.10, rel. 38, hkl 1 1 0
- 2θ 34.35, rel. 36, hkl 2 0 1
- 2θ 34.87, rel. 33, hkl 0 0 2
- 2θ 49.71, rel. 30, hkl 3 1 1
- 2θ 43.98, rel. 29, hkl 1 2 2
- 2θ 36.05, rel. 26, hkl 2 1 1
- 2θ 56.87, rel. 21, hkl 0 4 2
- 2θ 43.45, rel. 19, hkl 0 4 0
- 2θ 76.35, rel. 19, hkl 3 2 3

Atomic structure:
Cell: 6.060 8.330 5.146 Å, 90.00 90.00 90.00°
Positions (direct):
Ag: 0.021 0.165 0.000
Ag: 0.479 0.165 0.500
Ag: 0.521 0.835 0.000
Ag: 0.979 0.835 0.500
Pt: 0.150 0.628 0.101
Pt: 0.350 0.628 0.601
Pt: 0.650 0.372 0.101
Pt: 0.850 0.372 0.601
S: 0.055 0.155 0.486
S: 0.445 0.155 0.986
S: 0.555 0.845 0.486
S: 0.945 0.845 0.986
O: 0.135 0.477 0.789
O: 0.365 0.477 0.289
O: 0.635 0.523 0.789
O: 0.865 0.523 0.289

***

Simulated X-ray diffraction stick pattern of AgTePtO for Cu Kα, from a DFT-relaxed cell (PBE, OQMD).

Peak list (12 most intense, 10 to 80 degrees two-theta, by intensity)
- 2θ 23.95, rel. 100, hkl 1 1 1
- 2θ 37.16, rel. 95, hkl 0 2 2
- 2θ 39.18, rel. 86, hkl 1 3 1
- 2θ 37.87, rel. 77, hkl 2 2 0
- 2θ 32.45, rel. 66, hkl 0 3 0
- 2θ 43.52, rel. 57, hkl 2 0 2
- 2θ 49.71, rel. 50, hkl 1 1 3
- 2θ 34.38, rel. 47, hkl 2 0 1
- 2θ 31.90, rel. 44, hkl 0 1 2
- 2θ 50.84, rel. 40, hkl 3 1 1
- 2θ 32.71, rel. 31, hkl 2 1 0
- 2θ 63.41, rel. 30, hkl 2 4 2

Atomic structure:
Cell: 5.802 8.277 5.964 Å, 90.00 90.00 90.00°
Positions (direct):
Ag: 0.197 0.018 0.000
Ag: 0.303 0.018 0.500
Ag: 0.697 0.982 0.000
Ag: 0.803 0.982 0.500
Te: 0.097 0.362 0.128
Te: 0.403 0.362 0.628
Te: 0.597 0.638 0.128
Te: 0.903 0.638 0.628
Pt: 0.011 0.728 0.230
Pt: 0.489 0.728 0.730
Pt: 0.511 0.272 0.230
Pt: 0.989 0.272 0.730
O: 0.120 0.745 0.848
O: 0.380 0.745 0.348
O: 0.620 0.255 0.848
O: 0.880 0.255 0.348